# 1
Diffraction record for Al5HO8. The XRD peak list is simulated, not measured: it uses a cell relaxed with PBE and Cu Kα X-rays.
Intensities are scaled so that the largest is 1000.

```
Al5HO8
1.0
5.7502 0.0000 0.0000
-2.8751 4.9799 0.0000
0.0000 0.0000 8.7217
Al H O
10 2 16
direct
0.1739 0.3479 0.0000
0.1739 0.8261 0.0000
0.3333 0.6667 0.2955
0.3333 0.6667 0.6643
0.3479 0.1739 0.5000
0.6521 0.8261 0.0000
0.6667 0.3333 0.1643
0.6667 0.3333 0.7955
0.8261 0.1739 0.5000
0.8261 0.6521 0.5000
0.0000 0.0000 0.4854
0.0000 0.0000 0.9854
0.0000 0.0000 0.1027
0.0000 0.0000 0.6027
0.0346 0.5173 0.1359
0.1712 0.3423 0.4038
0.1712 0.8288 0.4038
0.3333 0.6667 0.8812
0.3423 0.1712 0.9038
0.4827 0.5173 0.1359
0.4827 0.9654 0.1359
0.5173 0.0346 0.6359
0.5173 0.4827 0.6359
0.6577 0.8288 0.4038
0.6667 0.3333 0.3812
0.8288 0.1712 0.9038
0.8288 0.6577 0.9038
0.9654 0.4827 0.6359
```

The 12 most intense peaks (2θ from 5° to 70°), by angle:
two_theta  d_spacing  I (rel.)
17.81  4.980  185
20.36  4.361  609
27.18  3.281  560
35.76  2.511  578
37.51  2.398  1000
41.77  2.162  964
48.11  1.891  474
52.99  1.728  280
56.06  1.640  209
58.41  1.580  385
64.86  1.438  822
65.32  1.429  656

***

# 2
Diffraction record for GdSi2Pd2. The XRD peak list is simulated, not measured: it uses a cell relaxed with PBE and Cu Kα X-rays.
Intensities are scaled so that the largest is 1000.

```
GdSi2Pd2
1.0
-2.0930 2.0930 4.9969
2.0930 -2.0930 4.9969
2.0930 2.0930 -4.9969
Gd Si Pd
1 2 2
direct
0.0000 0.0000 0.0000
0.3829 0.3829 0.0000
0.6171 0.6171 0.0000
0.2500 0.7500 0.5000
0.7500 0.2500 0.5000
```

The 12 most intense peaks (2θ from 5° to 70°), by angle:
two_theta  d_spacing  I (rel.)
23.04  3.861  252
34.41  2.607  267
35.24  2.547  1000
35.94  2.498  166
43.23  2.093  362
49.54  1.840  69
50.61  1.804  103
56.38  1.632  129
57.44  1.604  170
62.79  1.480  118
64.16  1.452  152
68.70  1.366  83

***

# 3
Diffraction record for Y2Ge2Ru. The XRD peak list is simulated, not measured: it uses a cell relaxed with PBE and Cu Kα X-rays.
Intensities are scaled so that the largest is 1000.

```
Y2Ge2Ru
1.0
5.4161 -2.1596 0.0000
5.4161 2.1596 0.0000
-4.8263 0.0000 8.9842
Y Ge Ru
4 4 2
direct
0.0009 0.0009 0.3279
0.1837 0.1837 0.1094
0.8163 0.8163 0.8906
0.9991 0.9991 0.6721
0.3534 0.3534 0.4332
0.4896 0.4896 0.1248
0.5104 0.5104 0.8752
0.6466 0.6466 0.5668
0.2709 0.2709 0.6274
0.7291 0.7291 0.3726
```

The 12 most intense peaks (2θ from 5° to 70°), by angle:
two_theta  d_spacing  I (rel.)
9.85  8.984  288
16.40  5.404  156
32.49  2.755  313
33.04  2.711  652
33.19  2.699  267
33.89  2.645  327
36.45  2.465  501
40.11  2.248  1000
41.83  2.160  452
54.41  1.686  126
59.34  1.557  263
63.92  1.457  196